The following is a simulated powder X-ray diffraction pattern of TaW2O8. It was derived from a crystal structure in the Materials Project, relaxed with GGA+U, using λ = 1.5418 Å (Cu Kα).

Principal peaks in the range 15 to 90 degrees two-theta, low angle first:
Position (°2θ)  d/Å  I_rel  (hkl)
17.78  4.989  20  0 1 1
19.65  4.518  27  1 0 0
24.28  3.666  64  0 1 2
24.84  3.584  21  1 1 -2
29.91  2.988  100  1 1 1
34.81  2.577  23  2 0 -2
35.07  2.559  41  1 2 -1
42.89  2.109  25  2 1 0
52.96  1.729  29  1 2 3
53.06  1.726  21  1 2 -5

Lattice parameters (Å, degrees): 5.1550 5.8952 10.6772 90.00 118.72 90.00
Atoms (fractional coordinates):
Ta 0.0000 0.1182 0.2500
Ta 0.0000 0.8818 0.7500
W 0.2411 0.3496 0.0050
W 0.2411 0.6504 0.5050
W 0.7589 0.3496 0.4950
W 0.7589 0.6504 0.9950
O 0.1719 0.3923 0.6106
O 0.1719 0.6077 0.1106
O 0.2116 0.1573 0.1398
O 0.2116 0.8427 0.6398
O 0.2450 0.1073 0.8828
O 0.2450 0.8927 0.3828
O 0.3157 0.3804 0.3909
O 0.3157 0.6196 0.8909
O 0.6843 0.3804 0.1091
O 0.6843 0.6196 0.6091
O 0.7550 0.1073 0.6172
O 0.7550 0.8927 0.1172
O 0.7884 0.1573 0.3602
O 0.7884 0.8427 0.8602
O 0.8281 0.3923 0.8894
O 0.8281 0.6077 0.3894


The following is a simulated powder X-ray diffraction pattern of Li2MoP4O13. It was derived from a crystal structure in the Materials Project, relaxed with GGA+U, using λ = 1.5418 Å (Cu Kα).

Principal peaks in the range 15 to 90 degrees two-theta, low angle first:
Position (°2θ)  d/Å  I_rel  (hkl)
18.54  4.785  66  0 1 -2
20.60  4.312  74  1 0 2
22.19  4.007  32  1 -1 0
23.22  3.830  46  -1 1 1
25.96  3.433  88  -1 1 2
26.44  3.371  52  1 2 0
26.99  3.303  100  1 2 2
27.90  3.198  53  0 2 -2
29.58  3.020  35  1 1 4
29.98  2.980  82  -1 1 3

Lattice parameters (Å, degrees): 5.1987 8.0928 13.8498 79.96 81.89 80.11
Atoms (fractional coordinates):
Li 0.0565 0.3260 0.0020
Li 0.3458 0.3601 0.4810
Li 0.6542 0.6399 0.5190
Li 0.9435 0.6740 0.9980
Mo 0.4310 0.0571 0.2596
Mo 0.5690 0.9429 0.7404
P 0.0084 0.9003 0.1474
P 0.1449 0.7813 0.6371
P 0.2875 0.6681 0.2998
P 0.3414 0.5728 0.8184
P 0.6586 0.4272 0.1816
P 0.7125 0.3319 0.7002
P 0.8551 0.2187 0.3629
P 0.9916 0.0997 0.8526
O 0.0380 0.7481 0.2439
O 0.0977 0.8227 0.0562
O 0.1404 0.6415 0.7390
O 0.1522 0.1508 0.3671
O 0.1590 0.0385 0.1660
O 0.1894 0.5266 0.9166
O 0.2180 0.5313 0.3800
O 0.2773 0.6939 0.5527
O 0.2818 0.9256 0.6556
O 0.2893 0.0313 0.8422
O 0.4059 0.8112 0.3289
O 0.4649 0.3028 0.1879
O 0.4993 0.3992 0.7871
O 0.5007 0.6008 0.2129
O 0.5351 0.6972 0.8121
O 0.5941 0.1888 0.6711
O 0.7107 0.9687 0.1578
O 0.7182 0.0744 0.3444
O 0.7227 0.3061 0.4473
O 0.7820 0.4687 0.6200
O 0.8106 0.4734 0.0834
O 0.8410 0.9615 0.8340
O 0.8478 0.8492 0.6329
O 0.8596 0.3585 0.2610
O 0.9023 0.1773 0.9438
O 0.9620 0.2519 0.7561


The following is a simulated powder X-ray diffraction pattern of CaTl4Ni4O12. It was derived from a crystal structure in the Materials Project, relaxed with GGA+U, using λ = 1.5418 Å (Cu Kα).

Principal peaks in the range 15 to 90 degrees two-theta, low angle first:
Position (°2θ)  d/Å  I_rel  (hkl)
20.11  4.415  39  0 0 2
22.31  3.986  27  1 1 0
23.73  3.750  27  1 -1 0
27.74  3.216  26  1 1 2
31.04  2.881  25  -1 1 2
31.55  2.836  62  1 -1 2
32.52  2.754  100  1 1 -2
33.42  2.682  51  2 0 0
34.97  2.566  47  1 1 3
38.58  2.334  29  -1 1 3

Lattice parameters (Å, degrees): 5.3991 5.6238 8.9402 82.76 84.23 85.83
Atoms (fractional coordinates):
Ca 0.0000 0.0000 0.0000
Tl 0.0642 0.0672 0.6357
Tl 0.1139 0.2711 0.2366
Tl 0.5657 0.7240 0.1822
Tl 0.6169 0.5773 0.6649
Ni 0.0679 0.5477 0.8795
Ni 0.1191 0.6466 0.4469
Ni 0.5425 0.0723 0.8608
Ni 0.6014 0.1289 0.4224
O 0.2228 0.6491 0.6614
O 0.2912 0.2770 0.9594
O 0.3087 0.9322 0.3545
O 0.3750 0.8028 0.9628
O 0.3927 0.4445 0.3501
O 0.4537 0.1532 0.6408
O 0.7592 0.0879 0.2115
O 0.8192 0.3106 0.8170
O 0.8215 0.8436 0.4979
O 0.8227 0.8406 0.8163
O 0.9020 0.3626 0.4712
O 0.9449 0.5933 0.1010


The following is a simulated powder X-ray diffraction pattern of Li4Ti2Cr3Co3O16. It was derived from a crystal structure in the Materials Project, relaxed with GGA+U, using λ = 1.5418 Å (Cu Kα).

Principal peaks in the range 15 to 90 degrees two-theta, low angle first:
Position (°2θ)  d/Å  I_rel  (hkl)
18.92  4.690  100  0 0 2
20.02  4.436  64  0 1 1
20.12  4.413  20  0 1 -1
33.61  2.666  25  1 1 3
36.43  2.467  28  2 1 2
36.97  2.431  21  0 2 1
37.15  2.420  38  2 2 1
40.65  2.219  19  0 2 2
46.17  1.966  25  0 2 3
61.47  1.508  20  2 0 5

Lattice parameters (Å, degrees): 5.7501 5.7788 9.3824 89.12 89.03 60.35
Atoms (fractional coordinates):
Li 0.0000 0.0000 0.0000
Li 0.0010 0.0036 0.5033
Li 0.3324 0.3398 0.4015
Li 0.6677 0.6718 0.8962
Ti 0.3409 0.3415 0.0040
Ti 0.6767 0.6737 0.5060
Cr 0.1759 0.1787 0.7298
Cr 0.3508 0.8258 0.2287
Cr 0.8318 0.3478 0.2197
Co 0.1735 0.6637 0.7196
Co 0.6601 0.1769 0.7196
Co 0.8310 0.8357 0.2198
O 0.0019 0.0051 0.8083
O 0.0086 0.9940 0.3114
O 0.0415 0.4859 0.8460
O 0.1685 0.6714 0.1047
O 0.1723 0.1678 0.1010
O 0.3349 0.3389 0.6150
O 0.3349 0.8405 0.6048
O 0.4802 0.4835 0.8393
O 0.4825 0.0454 0.8460
O 0.5104 0.5325 0.3505
O 0.5245 0.9673 0.3459
O 0.6602 0.6875 0.1104
O 0.6673 0.1702 0.1023
O 0.8350 0.8396 0.6075
O 0.8368 0.3381 0.6042
O 0.9603 0.5352 0.3463


The following is a simulated powder X-ray diffraction pattern of MgMn6O8F4. It was derived from a crystal structure in the Materials Project, relaxed with GGA+U, using λ = 1.5418 Å (Cu Kα).

Principal peaks in the range 15 to 90 degrees two-theta, low angle first:
Position (°2θ)  d/Å  I_rel  (hkl)
24.85  3.583  100  1 -1 0
25.56  3.485  95  1 1 0
34.55  2.596  22  0 1 -3
34.83  2.576  24  1 0 -3
35.17  2.552  44  0 1 3
36.16  2.484  19  2 0 0
50.12  1.820  22  1 -2 3
50.70  1.801  38  1 2 -3
50.84  1.796  23  -1 2 3
51.00  1.791  27  2 -2 0

Lattice parameters (Å, degrees): 4.9706 5.0279 8.9870 91.15 90.52 91.59
Atoms (fractional coordinates):
Mg 0.0000 0.0000 0.0000
Mn 0.0179 0.5306 0.6571
Mn 0.0737 0.4972 0.0018
Mn 0.4679 0.9948 0.4960
Mn 0.4762 0.0050 0.8084
Mn 0.5077 0.0363 0.1692
Mn 0.9778 0.5611 0.3184
O 0.1590 0.7307 0.8449
O 0.1638 0.7595 0.1551
O 0.1658 0.7355 0.4858
O 0.3221 0.2080 0.6554
O 0.3469 0.1994 0.9898
O 0.6487 0.8236 0.6514
O 0.6538 0.8428 0.3273
O 0.8594 0.2950 0.1489
F 0.3169 0.2366 0.3406
F 0.6681 0.7983 0.9812
F 0.8137 0.3382 0.4826
F 0.8623 0.2687 0.8436


The following is a simulated powder X-ray diffraction pattern of Li9Mn2Co5O16. It was derived from a crystal structure in the Materials Project, relaxed with GGA+U, using λ = 1.5418 Å (Cu Kα).

Principal peaks in the range 15 to 90 degrees two-theta, low angle first:
Position (°2θ)  d/Å  I_rel  (hkl)
18.26  4.859  100  0 0 4
35.27  2.545  15  2 0 -2
36.06  2.490  26  1 1 1
37.01  2.429  8  0 0 8
42.81  2.113  29  2 0 -6
43.62  2.075  55  1 1 5
47.53  1.913  10  1 1 -7
57.40  1.605  10  1 1 9
62.57  1.485  7  2 0 10
62.77  1.480  31  3 1 -1

Lattice parameters (Å, degrees): 5.1630 2.9007 19.5246 90.00 95.40 90.00
Atoms (fractional coordinates):
Li 0.0000 0.0000 0.0000
Li 0.1129 0.5000 0.8807
Li 0.1302 0.0000 0.3724
Li 0.3789 0.5000 0.6280
Li 0.3829 0.0000 0.1222
Li 0.6171 0.0000 0.8778
Li 0.6211 0.5000 0.3720
Li 0.8698 0.0000 0.6276
Li 0.8871 0.5000 0.1193
Mn 0.0000 0.5000 0.5000
Mn 0.5000 0.5000 0.0000
Co 0.2473 0.0000 0.7505
Co 0.2516 0.5000 0.2490
Co 0.5000 0.0000 0.5000
Co 0.7484 0.5000 0.7510
Co 0.7527 0.0000 0.2495
O 0.0649 0.5000 0.6910
O 0.0697 0.0000 0.1929
O 0.1732 0.0000 0.5559
O 0.2186 0.5000 0.0580
O 0.3299 0.0000 0.9446
O 0.3330 0.5000 0.4417
O 0.4297 0.5000 0.8068
O 0.4322 0.0000 0.3072
O 0.5678 0.0000 0.6928
O 0.5703 0.5000 0.1932
O 0.6670 0.5000 0.5583
O 0.6701 0.0000 0.0554
O 0.7814 0.5000 0.9420
O 0.8268 0.0000 0.4441
O 0.9303 0.0000 0.8071
O 0.9351 0.5000 0.3090